Record 1
Structure and simulated powder X-ray diffraction pattern of MgSc2V2O7 (the PBE+U geometry in the Materials Project; Cu Kα (weighted mean of Kα1 and Kα2)).

Structure:
```
data_MgSc2V2O7
_chemical_formula_sum 'Mg1 Sc2 V2 O7'
_space_group_name_H-M_alt 'P 1'
_space_group_IT_number 1
_cell_length_a 5.3297
_cell_length_b 5.7048
_cell_length_c 5.7049
_cell_angle_alpha 113.35
_cell_angle_beta 97.38
_cell_angle_gamma 97.25
loop_
_space_group_symop_operation_xyz
'x,y,z'
loop_
_atom_site_label
_atom_site_fract_x
_atom_site_fract_y
_atom_site_fract_z
Mg1 0.0000 0.0000 0.0000
Sc1 0.5003 0.5347 0.4673
Sc2 0.5004 0.8859 0.1165
V1 0.1238 0.9605 0.5270
V2 0.8766 0.4746 0.0426
O1 0.9995 0.2056 0.7960
O2 0.2395 0.6505 0.2362
O3 0.2728 0.8126 0.7626
O4 0.2751 0.1542 0.3360
O5 0.7249 0.6651 0.8480
O6 0.7277 0.2391 0.1901
O7 0.7610 0.7657 0.3520
```

Largest 10 diffraction maxima, sorted by position, 2θ = 5–70°:
| d [Å] | Position (°2θ) | I/Imax |
| --- | --- | --- |
| 5.137 | 17.26 | 57 |
| 3.509 | 25.38 | 96 |
| 3.338 | 26.71 | 100 |
| 2.943 | 30.37 | 32 |
| 2.595 | 34.56 | 24 |
| 2.165 | 41.71 | 24 |
| 2.015 | 44.98 | 40 |
| 1.814 | 50.31 | 42 |
| 1.681 | 54.59 | 26 |
| 1.549 | 59.69 | 28 |


Record 2
Structure and simulated powder X-ray diffraction pattern of V2Hg2O7 (the PBE+U geometry in the Materials Project; Cu Kα (weighted mean of Kα1 and Kα2)).

Structure:
```
data_V2Hg2O7
_chemical_formula_sum 'V8 Hg8 O28'
_space_group_name_H-M_alt 'P n m a'
_space_group_IT_number 62
_cell_length_a 19.2661
_cell_length_b 3.4573
_cell_length_c 12.0022
_cell_angle_alpha 90.00
_cell_angle_beta 90.00
_cell_angle_gamma 90.00
loop_
_space_group_symop_operation_xyz
'x,y,z'
'-x,-y,-z'
'-x+1/2,-y,z+1/2'
'x+1/2,y,-z+1/2'
'x+1/2,-y+1/2,-z+1/2'
'-x+1/2,y+1/2,z+1/2'
'-x,y+1/2,-z'
'x,-y+1/2,z'
loop_
_atom_site_label
_atom_site_fract_x
_atom_site_fract_y
_atom_site_fract_z
V1 0.0484 0.2500 0.0675
V2 0.2020 0.7500 0.0351
Hg1 0.0963 0.2500 0.3003
Hg2 0.2089 0.2500 0.7331
O1 0.0093 0.7500 0.0768
O2 0.0173 0.2500 0.6139
O3 0.0749 0.2500 0.5649
O4 0.1390 0.2500 0.0161
O5 0.2103 0.7500 0.8664
O6 0.2232 0.2500 0.4260
O7 0.2481 0.2500 0.1227
```

Largest 10 diffraction maxima, sorted by position, 2θ = 5–70°:
| d [Å] | Position (°2θ) | I/Imax |
| --- | --- | --- |
| 9.633 | 9.18 | 37 |
| 6.001 | 14.76 | 49 |
| 4.470 | 19.86 | 100 |
| 3.254 | 27.41 | 52 |
| 3.141 | 28.42 | 42 |
| 3.102 | 28.78 | 33 |
| 2.861 | 31.26 | 47 |
| 2.735 | 32.75 | 36 |
| 1.953 | 46.50 | 32 |
| 1.877 | 48.50 | 32 |


Record 3
Structure and simulated powder X-ray diffraction pattern of Ni3Ag2P3HO12 (the PBE+U geometry in the Materials Project; Cu Kα (weighted mean of Kα1 and Kα2)).

Structure:
```
data_Ni3Ag2P3HO12
_chemical_formula_sum 'Ni12 Ag8 P12 H4 O48'
_space_group_name_H-M_alt 'I m a 2'
_space_group_IT_number 46
_cell_length_a 13.4804
_cell_length_b 6.5771
_cell_length_c 10.7090
_cell_angle_alpha 90.00
_cell_angle_beta 90.00
_cell_angle_gamma 90.00
loop_
_space_group_symop_operation_xyz
'x,y,z'
'-x,-y,z'
'-x+1/2,y,z'
'x+1/2,-y,z'
'x+1/2,y+1/2,z+1/2'
'-x+1/2,-y+1/2,z+1/2'
'-x,y+1/2,z+1/2'
'x,-y+1/2,z+1/2'
loop_
_atom_site_label
_atom_site_fract_x
_atom_site_fract_y
_atom_site_fract_z
Ni1 0.0000 0.0000 0.0000
Ni2 0.1277 0.2453 0.7572
Ag1 0.0000 0.0000 0.5015
Ag2 0.2500 0.6041 0.0268
P1 0.0739 0.7502 0.2490
P2 0.2500 0.0659 0.9889
H1 0.2500 0.0450 0.1866
O1 0.0022 0.2139 0.8613
O2 0.0048 0.2135 0.1400
O3 0.1362 0.5613 0.2163
O4 0.1373 0.5622 0.7785
O5 0.1551 0.5575 0.4903
O6 0.2500 0.1740 0.1342
O7 0.2500 0.2415 0.8922
```

Largest 10 diffraction maxima, sorted by position, 2θ = 5–70°:
| d [Å] | Position (°2θ) | I/Imax |
| --- | --- | --- |
| 3.968 | 22.40 | 24 |
| 3.062 | 29.17 | 17 |
| 2.852 | 31.36 | 100 |
| 2.802 | 31.94 | 65 |
| 2.677 | 33.47 | 39 |
| 2.588 | 34.67 | 19 |
| 2.296 | 39.23 | 14 |
| 1.768 | 51.71 | 30 |
| 1.684 | 54.47 | 16 |
| 1.577 | 58.52 | 13 |


Record 4
Structure and simulated powder X-ray diffraction pattern of LiCoPO4 (the PBE+U geometry in the Materials Project; Cu Kα (weighted mean of Kα1 and Kα2)).

Structure:
```
data_LiCoPO4
_chemical_formula_sum 'Li4 Co4 P4 O16'
_space_group_name_H-M_alt 'P n a 21'
_space_group_IT_number 33
_cell_length_a 10.1946
_cell_length_b 5.0363
_cell_length_c 6.8004
_cell_angle_alpha 90.00
_cell_angle_beta 90.00
_cell_angle_gamma 90.00
loop_
_space_group_symop_operation_xyz
'x,y,z'
'-x,-y,z+1/2'
'-x+1/2,y+1/2,z+1/2'
'x+1/2,-y+1/2,z'
loop_
_atom_site_label
_atom_site_fract_x
_atom_site_fract_y
_atom_site_fract_z
Li1 0.1541 0.1872 0.0000
Co1 0.1547 0.1868 0.4975
P1 0.0951 0.6847 0.7504
O1 0.0531 0.2442 0.2523
O2 0.1168 0.3786 0.7477
O3 0.1604 0.8017 0.5623
O4 0.1611 0.8004 0.9384
```

Largest 10 diffraction maxima, sorted by position, 2θ = 5–70°:
| d [Å] | Position (°2θ) | I/Imax |
| --- | --- | --- |
| 4.079 | 21.79 | 100 |
| 4.047 | 21.96 | 99 |
| 3.762 | 23.65 | 16 |
| 2.829 | 31.63 | 28 |
| 2.716 | 32.98 | 18 |
| 2.549 | 35.21 | 30 |
| 2.518 | 35.65 | 32 |
| 2.466 | 36.43 | 18 |
| 2.069 | 43.75 | 16 |
| 1.700 | 53.94 | 14 |


Record 5
Structure and simulated powder X-ray diffraction pattern of Na4Fe2C4SO16 (the PBE+U geometry in the Materials Project; Cu Kα (weighted mean of Kα1 and Kα2)).

Structure:
```
data_Na4Fe2C4SO16
_chemical_formula_sum 'Na8 Fe4 C8 S2 O32'
_space_group_name_H-M_alt 'P 1'
_space_group_IT_number 1
_cell_length_a 9.7840
_cell_length_b 9.8596
_cell_length_c 9.8652
_cell_angle_alpha 119.61
_cell_angle_beta 90.35
_cell_angle_gamma 119.13
loop_
_space_group_symop_operation_xyz
'x,y,z'
loop_
_atom_site_label
_atom_site_fract_x
_atom_site_fract_y
_atom_site_fract_z
Na1 0.0000 0.0000 0.0000
Na2 0.0016 0.5947 0.0009
Na3 0.0106 0.0160 0.4289
Na4 0.2697 0.5119 0.1779
Na5 0.2732 0.5116 0.7490
Na6 0.4322 0.0162 0.0059
Na7 0.4386 0.0367 0.4422
Na8 0.6702 0.5135 0.1795
Fe1 0.3503 0.7688 0.5924
Fe2 0.8440 0.2608 0.0916
Fe3 0.8443 0.2673 0.5888
Fe4 0.8449 0.7643 0.5937
C1 0.0594 0.6930 0.3745
C2 0.0625 0.6930 0.7335
C3 0.0646 0.3427 0.3807
C4 0.6341 0.1931 0.8049
C5 0.6355 0.8436 0.4510
C6 0.6358 0.8410 0.8052
C7 0.7071 0.3436 0.3769
C8 0.9893 0.1925 0.8057
S1 0.2202 0.0154 0.2166
S2 0.4723 0.5135 0.9650
O1 0.0286 0.8051 0.4869
O2 0.0344 0.8912 0.1553
O3 0.0364 0.3091 0.2341
O4 0.0361 0.5515 0.7380
O5 0.2039 0.4877 0.4944
O6 0.2055 0.7228 0.4000
O7 0.2063 0.8067 0.7360
O8 0.2764 0.1301 0.1482
O9 0.2768 0.1329 0.3990
O10 0.2834 0.8915 0.1564
O11 0.4007 0.6296 0.0225
O12 0.4120 0.3934 0.7829
O13 0.4118 0.3946 0.0323
O14 0.4882 0.8101 0.7828
O15 0.4913 0.7264 0.4462
O16 0.4955 0.0491 0.6894
O17 0.6554 0.6348 0.0315
O18 0.6583 0.2265 0.9518
O19 0.6635 0.7293 0.6903
O20 0.6627 0.9886 0.4559
O21 0.6980 0.2238 0.2297
O22 0.7043 0.3106 0.4892
O23 0.7140 0.4893 0.4056
O24 0.7504 0.3071 0.7787
O25 0.7511 0.8126 0.4465
O26 0.7508 0.9846 0.9463
O27 0.9465 0.5519 0.2298
O28 0.9475 0.7225 0.7350
O29 0.9542 0.2271 0.4098
O30 0.9811 0.0467 0.7782
O31 0.9949 0.2248 0.6918
O32 0.9954 0.3136 0.9513
```

Largest 10 diffraction maxima, sorted by position, 2θ = 5–70°:
| d [Å] | Position (°2θ) | I/Imax |
| --- | --- | --- |
| 8.087 | 10.94 | 100 |
| 8.017 | 11.04 | 56 |
| 4.969 | 17.85 | 74 |
| 4.260 | 20.85 | 96 |
| 4.209 | 21.11 | 77 |
| 4.188 | 21.21 | 65 |
| 2.725 | 32.87 | 52 |
| 2.674 | 33.51 | 71 |
| 2.487 | 36.11 | 45 |
| 2.465 | 36.45 | 38 |


Record 6
Structure and simulated powder X-ray diffraction pattern of Rb2MoO4 (the PBE+U geometry in the Materials Project; Cu Kα (weighted mean of Kα1 and Kα2)).

Structure:
```
data_Rb2MoO4
_chemical_formula_sum 'Rb8 Mo4 O16'
_space_group_name_H-M_alt 'C 1 2/m 1'
_space_group_IT_number 12
_cell_length_a 13.0772
_cell_length_b 6.4274
_cell_length_c 8.0392
_cell_angle_alpha 90.00
_cell_angle_beta 115.89
_cell_angle_gamma 90.00
loop_
_space_group_symop_operation_xyz
'x,y,z'
'-x,-y,-z'
'-x,y,-z'
'x,-y,z'
'x+1/2,y+1/2,z'
'-x+1/2,-y+1/2,-z'
'-x+1/2,y+1/2,-z'
'x+1/2,-y+1/2,z'
loop_
_atom_site_label
_atom_site_fract_x
_atom_site_fract_y
_atom_site_fract_z
Rb1 0.0133 0.0000 0.2385
Rb2 0.1565 0.5000 0.7479
Mo1 0.1760 0.5000 0.2249
O1 0.0943 0.5000 0.3558
O2 0.1431 0.2717 0.0825
O3 0.1736 0.0000 0.6279
```

Largest 10 diffraction maxima, sorted by position, 2θ = 5–70°:
| d [Å] | Position (°2θ) | I/Imax |
| --- | --- | --- |
| 3.616 | 24.62 | 59 |
| 3.348 | 26.63 | 100 |
| 3.214 | 27.76 | 51 |
| 3.099 | 28.81 | 70 |
| 2.402 | 37.44 | 50 |
| 2.097 | 43.13 | 31 |
| 1.918 | 47.41 | 17 |
| 1.880 | 48.41 | 17 |
| 1.833 | 49.75 | 15 |
| 1.541 | 60.02 | 12 |


Record 7
Structure and simulated powder X-ray diffraction pattern of ErMnO3 (the PBE+U geometry in the Materials Project; Cu Kα (weighted mean of Kα1 and Kα2)).

Structure:
```
data_ErMnO3
_chemical_formula_sum 'Er6 Mn6 O18'
_space_group_name_H-M_alt 'P 63 c m'
_space_group_IT_number 185
_space_group_name_Hall 'P 6c -2'
_cell_length_a 6.1737
_cell_length_b 6.1737
_cell_length_c 11.5173
_cell_angle_alpha 90.00
_cell_angle_beta 90.00
_cell_angle_gamma 120.00
loop_
_atom_site_label
_atom_site_fract_x
_atom_site_fract_y
_atom_site_fract_z
Er1 0.0000 0.0000 0.0000
Er2 0.3333 0.6667 0.4562
Mn1 0.0000 0.3334 0.2252
O1 0.0000 0.0000 0.1998
O2 0.0000 0.3067 0.3906
O3 0.0000 0.3596 0.0600
O4 0.3333 0.6667 0.2467
```

Largest 10 diffraction maxima, sorted by position, 2θ = 5–70°:
| d [Å] | Position (°2θ) | I/Imax |
| --- | --- | --- |
| 5.759 | 15.39 | 40 |
| 3.087 | 28.92 | 49 |
| 2.982 | 29.97 | 20 |
| 2.879 | 31.06 | 28 |
| 2.721 | 32.92 | 100 |
| 2.106 | 42.96 | 34 |
| 1.782 | 51.26 | 36 |
| 1.630 | 56.45 | 18 |
| 1.515 | 61.16 | 24 |
| 1.491 | 62.28 | 17 |


> Which formula does entry 5 have?

Na4Fe2C4SO16